# 1
Calculated powder XRD pattern of SmLuCu2Ge2 for Cu Kα, 1.54184 Å, from a crystal structure in OQMD, relaxed with PBE.
Intensities are scaled so that the largest is 100.

a = 4.2522 Å, b = 4.2522 Å, c = 7.3163 Å
α = 90.00°, β = 90.00°, γ = 120.00°
Element x y z (fractional)
Sm  0.0000  0.0000  0.0000
Lu  0.0000  0.0000  0.5020
Cu  0.3333  0.6667  0.7024
Cu  0.6667  0.3333  0.2552
Ge  0.3333  0.6667  0.2836
Ge  0.6667  0.3333  0.7597

Main lines, sorted by position (10 to 80 degrees two-theta):
- hkl 1 0 0, 24.2°, rel. 19
- hkl 0 1 2, 34.6°, rel. 100
- hkl 1 1 0, 42.5°, rel. 50
- hkl 2 0 0, 49.5°, rel. 3
- hkl 0 0 4, 49.9°, rel. 8
- hkl 2 0 2, 55.9°, rel. 25
- hkl 1 0 4, 56.1°, rel. 6
- hkl 1 1 4, 67.6°, rel. 19
- hkl 1 2 2, 72.7°, rel. 23
- hkl 3 0 0, 77.8°, rel. 8

=====

# 2
Calculated powder XRD pattern of CuAg8 for Cu Kα, 1.54184 Å, from a crystal structure in OQMD, relaxed with PBE.
Intensities are scaled so that the largest is 100.

a = 2.9148 Å, b = 2.9148 Å, c = 21.1803 Å
α = 90.00°, β = 90.00°, γ = 120.00°
Element x y z (fractional)
Cu  0.0000  0.0000  0.0000
Ag  0.0000  0.0000  0.3303
Ag  0.0000  0.0000  0.6697
Ag  0.3333  0.6667  0.2165
Ag  0.3333  0.6667  0.5565
Ag  0.3333  0.6667  0.8983
Ag  0.6667  0.3333  0.1017
Ag  0.6667  0.3333  0.4435
Ag  0.6667  0.3333  0.7835

Main lines, sorted by position (10 to 80 degrees two-theta):
- hkl 0 0 8, 33.9°, rel. 2
- hkl 1 0 3, 37.9°, rel. 100
- hkl 0 0 9, 38.2°, rel. 30
- hkl 0 1 6, 44.1°, rel. 62
- hkl 1 0 11, 60.5°, rel. 2
- hkl 1 1 0, 63.9°, rel. 20
- hkl 1 0 12, 64.4°, rel. 16
- hkl 0 2 3, 76.7°, rel. 12
- hkl 1 1 9, 77.0°, rel. 21
- hkl 0 1 15, 77.4°, rel. 9